Record 1
YCr3F15: theoretical X-ray powder pattern (λ = 1.5418 Å (Cu Kα)), based on a structure optimized by DFT (GGA+U).
Peak positions follow from Bragg's law for the DFT cell and can differ from measured ones.

Structure:
Lattice parameters (Å, degrees): 6.4018 12.1092 9.0355 90.00 104.89 90.00
Space group P2_1/m (No. 11)
Asymmetric unit:
Y1 0.0586 0.2500 0.2617 [2 per cell]
Cr1 0.4909 0.5011 0.6640 [4 per cell]
Cr2 0.5000 0.0000 0.0000 [2 per cell]
F1 0.1321 0.7500 0.9534 [2 per cell]
F2 0.1345 0.7500 0.2774 [2 per cell]
F3 0.1404 0.7500 0.5963 [2 per cell]
F4 0.2517 0.0811 0.6202 [4 per cell]
F5 0.2647 0.0836 0.9607 [4 per cell]
F6 0.2649 0.1020 0.2908 [4 per cell]
F7 0.3797 0.5856 0.8163 [4 per cell]
F8 0.3857 0.5831 0.4750 [4 per cell]
F9 0.3876 0.5797 0.1488 [4 per cell]

Peak list (12 most intense, 2θ from 10° to 90°, in order of rising 2θ)
12.50 deg, intensity 236, (0 1 1)
14.32 deg, intensity 198, (1 0 0)
14.63 deg, intensity 160, (0 2 0)
16.95 deg, intensity 93, (1 1 -1)
20.52 deg, intensity 1000, (1 2 0)
39.57 deg, intensity 61, (2 2 -3)
40.33 deg, intensity 71, (1 2 3)
41.75 deg, intensity 102, (2 4 0)
42.88 deg, intensity 58, (1 4 -3)
43.09 deg, intensity 129, (2 3 -3)
43.80 deg, intensity 67, (1 3 3)
59.81 deg, intensity 60, (1 6 3)

***

Record 2
ZnCrF5: theoretical X-ray powder pattern (λ = 1.5418 Å (Cu Kα)), based on a structure optimized by DFT (GGA+U).
Peak positions follow from Bragg's law for the DFT cell and can differ from measured ones.

Structure:
Lattice parameters (Å, degrees): 5.2293 9.8197 7.4794 90.00 110.31 90.00
Space group P2_1/c (No. 14)
Asymmetric unit:
Zn1 0.0124 0.0062 0.2490 [4 per cell]
Cr1 0.4028 0.2456 0.6029 [4 per cell]
F1 0.1055 0.1144 0.5618 [4 per cell]
F2 0.1418 0.1083 0.0015 [4 per cell]
F3 0.2933 0.6299 0.3494 [4 per cell]
F4 0.3522 0.5934 0.8043 [4 per cell]
F5 0.3662 0.1970 0.3429 [4 per cell]

Peak list (12 most intense, 2θ from 10° to 90°, in order of rising 2θ)
20.24 deg, intensity 193, (1 1 0)
25.67 deg, intensity 1000, (1 2 0)
27.00 deg, intensity 222, (0 1 2)
27.18 deg, intensity 194, (1 1 -2)
31.34 deg, intensity 219, (0 2 2)
31.50 deg, intensity 199, (1 2 -2)
46.27 deg, intensity 178, (2 3 0)
48.70 deg, intensity 179, (1 0 -4)
52.50 deg, intensity 172, (1 4 2)
52.80 deg, intensity 237, (2 4 -2)
55.66 deg, intensity 109, (0 2 4)
56.41 deg, intensity 87, (3 2 -2)

***

Record 3
ZnCrF5: theoretical X-ray powder pattern (λ = 1.5418 Å (Cu Kα)), based on a structure optimized by DFT (GGA+U).
Peak positions follow from Bragg's law for the DFT cell and can differ from measured ones.

Structure:
Lattice parameters (Å, degrees): 8.5717 6.3536 7.4838 90.00 115.90 90.00
Space group C2/c (No. 15)
Asymmetric unit:
Zn1 0.0000 0.0175 0.2500 [4 per cell]
Cr1 0.0000 0.5000 0.0000 [4 per cell]
F1 0.0000 0.4044 0.2500 [4 per cell]
F2 0.0136 0.1992 0.9626 [8 per cell]
F3 0.2500 0.0297 0.3692 [8 per cell]

Peak list (12 most intense, 2θ from 10° to 90°, in order of rising 2θ)
23.07 deg, intensity 891, (2 0 0)
27.67 deg, intensity 1000, (1 1 -2)
28.09 deg, intensity 474, (0 2 0)
36.32 deg, intensity 181, (3 1 -2)
47.14 deg, intensity 270, (4 0 0)
48.67 deg, intensity 202, (2 0 -4)
49.45 deg, intensity 329, (1 3 -2)
55.24 deg, intensity 199, (1 3 2)
55.54 deg, intensity 253, (5 1 -2)
55.78 deg, intensity 124, (4 2 0)
57.14 deg, intensity 139, (2 2 -4)
70.72 deg, intensity 187, (3 3 2)

***

Record 4
ZrCrF6: theoretical X-ray powder pattern (λ = 1.5418 Å (Cu Kα)), based on a structure optimized by DFT (GGA+U).
Peak positions follow from Bragg's law for the DFT cell and can differ from measured ones.

Structure:
Lattice parameters (Å, degrees): 8.3176 8.3176 8.3176 90.00 90.00 90.00
Space group Fm-3m (No. 225)
Asymmetric unit:
Zr1 0.0000 0.0000 0.0000 [4 per cell]
Cr1 0.0000 0.0000 0.5000 [4 per cell]
F1 0.0000 0.0000 0.2457 [24 per cell]

Peak list (12 most intense, 2θ from 10° to 90°, in order of rising 2θ)
18.48 deg, intensity 91, (1 1 1)
21.37 deg, intensity 1000, (2 0 0)
30.40 deg, intensity 258, (2 2 0)
43.52 deg, intensity 275, (4 0 0)
48.98 deg, intensity 380, (4 2 0)
54.01 deg, intensity 103, (4 2 2)
63.24 deg, intensity 152, (4 4 0)
67.57 deg, intensity 162, (6 0 0)
71.77 deg, intensity 45, (6 2 0)
79.90 deg, intensity 46, (4 4 4)
83.88 deg, intensity 68, (6 4 0)
87.83 deg, intensity 54, (6 4 2)

***

Record 5
ZrCrF6: theoretical X-ray powder pattern (λ = 1.5418 Å (Cu Kα)), based on a structure optimized by DFT (GGA+U).
Peak positions follow from Bragg's law for the DFT cell and can differ from measured ones.

Structure:
Lattice parameters (Å, degrees): 5.8033 5.8033 8.6510 90.00 90.00 90.00
Space group I4/mmm (No. 139)
Asymmetric unit:
Zr1 0.0000 0.0000 0.0000 [2 per cell]
Cr1 0.0000 0.0000 0.5000 [2 per cell]
F1 0.0000 0.0000 0.2332 [4 per cell]
F2 0.2502 0.2502 0.0000 [8 per cell]

Peak list (12 most intense, 2θ from 10° to 90°, in order of rising 2θ)
18.41 deg, intensity 149, (1 0 1)
20.53 deg, intensity 576, (0 0 2)
21.66 deg, intensity 1000, (1 1 0)
30.02 deg, intensity 280, (1 1 2)
30.82 deg, intensity 129, (2 0 0)
41.77 deg, intensity 159, (0 0 4)
44.14 deg, intensity 273, (2 2 0)
47.52 deg, intensity 209, (1 1 4)
49.15 deg, intensity 196, (2 2 2)
49.68 deg, intensity 188, (3 1 0)
62.39 deg, intensity 162, (2 2 4)
66.86 deg, intensity 135, (3 1 4)

***

Record 6
KMgCr2FeO8: theoretical X-ray powder pattern (λ = 1.5418 Å (Cu Kα)), based on a structure optimized by DFT (GGA+U).
Peak positions follow from Bragg's law for the DFT cell and can differ from measured ones.

Structure:
Lattice parameters (Å, degrees): 9.4670 5.5425 8.5939 90.00 101.91 90.00
Space group Cm (No. 8)
Asymmetric unit:
K1 0.0000 0.0000 0.0000 [2 per cell]
Mg1 0.2413 0.0000 0.7370 [2 per cell]
Cr1 0.2196 0.5000 0.2472 [2 per cell]
Cr2 0.4981 0.0000 0.6487 [2 per cell]
Fe1 0.1074 0.0000 0.4410 [2 per cell]
O1 0.0985 0.2326 0.6274 [4 per cell]
O2 0.1235 0.2528 0.2763 [4 per cell]
O3 0.2386 0.5000 0.0622 [2 per cell]
O4 0.3150 0.0000 0.5286 [2 per cell]
O5 0.3825 0.5000 0.3650 [2 per cell]
O6 0.4418 0.0000 0.8388 [2 per cell]

Peak list (12 most intense, 2θ from 10° to 90°, in order of rising 2θ)
10.52 deg, intensity 678, (0 0 1)
19.16 deg, intensity 324, (2 0 0)
20.46 deg, intensity 1000, (1 1 -1)
22.43 deg, intensity 414, (1 1 1)
23.77 deg, intensity 375, (2 0 1)
26.77 deg, intensity 553, (1 1 -2)
29.82 deg, intensity 243, (1 1 2)
32.30 deg, intensity 365, (0 2 0)
33.00 deg, intensity 391, (3 1 -1)
35.41 deg, intensity 218, (1 1 -3)
55.48 deg, intensity 122, (5 1 1)
59.61 deg, intensity 139, (4 2 2)

***

Record 7
KCr2Fe3O14: theoretical X-ray powder pattern (λ = 1.5418 Å (Cu Kα)), based on a structure optimized by DFT (GGA+U).
Peak positions follow from Bragg's law for the DFT cell and can differ from measured ones.

Structure:
Lattice parameters (Å, degrees): 7.2204 7.2204 17.9450 90.00 90.00 120.00
Space group R-3m (No. 166, hexagonal axes)
Asymmetric unit:
K1 0.0000 0.0000 0.0000 [3 per cell]
Cr1 0.0000 0.0000 0.3119 [6 per cell]
Fe1 0.0000 0.5000 0.5000 [9 per cell]
O1 0.0000 0.0000 0.4017 [6 per cell]
O2 0.0817 0.5408 0.3884 [18 per cell]
O3 0.1003 0.5501 0.8092 [18 per cell]

Peak list (12 most intense, 2θ from 10° to 90°, in order of rising 2θ)
15.00 deg, intensity 229, (1 0 1)
17.29 deg, intensity 660, (0 1 2)
24.66 deg, intensity 193, (1 1 0)
28.89 deg, intensity 1000, (1 1 3)
28.99 deg, intensity 647, (0 2 1)
29.87 deg, intensity 273, (0 0 6)
37.93 deg, intensity 330, (1 0 7)
46.12 deg, intensity 361, (0 3 3)
50.56 deg, intensity 350, (2 2 0)
59.37 deg, intensity 298, (0 2 10)
59.85 deg, intensity 170, (2 2 6)
70.83 deg, intensity 121, (4 1 3)

***

Record 8
LaCrFeO6: theoretical X-ray powder pattern (λ = 1.5418 Å (Cu Kα)), based on a structure optimized by DFT (GGA+U).
Peak positions follow from Bragg's law for the DFT cell and can differ from measured ones.

Structure:
Lattice parameters (Å, degrees): 5.3332 5.4791 9.3163 90.00 124.39 90.00
Space group Pc (No. 7)
Asymmetric unit:
La1 0.0000 0.2121 0.0000 [2 per cell]
Cr1 0.7558 0.2694 0.2572 [2 per cell]
Fe1 0.2492 0.2501 0.7534 [2 per cell]
O1 0.0326 0.2500 0.4824 [2 per cell]
O2 0.4577 0.2566 0.0026 [2 per cell]
O3 0.5239 0.0259 0.2630 [2 per cell]
O4 0.5589 0.4865 0.7687 [2 per cell]
O5 0.9589 0.0133 0.7198 [2 per cell]
O6 0.9880 0.4578 0.2167 [2 per cell]

Peak list (12 most intense, 2θ from 10° to 90°, in order of rising 2θ)
19.90 deg, intensity 1000, (0 1 1)
20.18 deg, intensity 542, (1 0 0)
20.35 deg, intensity 508, (1 0 -2)
32.69 deg, intensity 340, (0 2 0)
32.94 deg, intensity 734, (1 1 1)
33.17 deg, intensity 719, (1 1 -3)
33.61 deg, intensity 350, (2 0 -2)
38.77 deg, intensity 504, (0 1 3)
47.29 deg, intensity 303, (0 0 4)
47.59 deg, intensity 543, (2 2 -2)
58.66 deg, intensity 241, (0 2 4)
59.54 deg, intensity 210, (3 1 -1)

***

Record 9
La7SmCr2Fe6O24: theoretical X-ray powder pattern (λ = 1.5418 Å (Cu Kα)), based on a structure optimized by DFT (GGA+U).
Peak positions follow from Bragg's law for the DFT cell and can differ from measured ones.

Structure:
Lattice parameters (Å, degrees): 11.1443 11.1452 7.8793 90.00 90.00 90.00
Space group Cmm2 (No. 35)
Asymmetric unit:
La1 0.0000 0.0000 0.0000 [2 per cell]
La2 0.0000 0.0000 0.4994 [2 per cell]
La3 0.0000 0.5000 0.4994 [2 per cell]
La4 0.2500 0.2500 0.0000 [4 per cell]
La5 0.2500 0.2500 0.4994 [4 per cell]
Sm1 0.0000 0.5000 0.0000 [2 per cell]
Cr1 0.0000 0.2501 0.2496 [4 per cell]
Fe1 0.0000 0.2501 0.7498 [4 per cell]
Fe2 0.2501 0.0000 0.2495 [4 per cell]
Fe3 0.2501 0.0000 0.7498 [4 per cell]
O1 0.0000 0.2500 0.4992 [4 per cell]
O2 0.0000 0.2507 0.0003 [4 per cell]
O3 0.1245 0.3751 0.2490 [8 per cell]
O4 0.1248 0.1252 0.2497 [8 per cell]
O5 0.1249 0.1251 0.7497 [8 per cell]
O6 0.1246 0.3752 0.7503 [8 per cell]
O7 0.2494 0.5000 0.0001 [4 per cell]
O8 0.2500 0.0000 0.4993 [4 per cell]

Peak list (12 most intense, 2θ from 10° to 90°, in order of rising 2θ)
22.57 deg, intensity 141, (2 2 0)
32.13 deg, intensity 1000, (4 0 0)
39.62 deg, intensity 195, (4 0 2)
46.07 deg, intensity 328, (4 4 0)
51.89 deg, intensity 75, (6 2 0)
57.28 deg, intensity 383, (6 2 2)
67.20 deg, intensity 192, (8 0 0)
71.89 deg, intensity 40, (8 0 2)
76.45 deg, intensity 162, (8 4 0)
80.92 deg, intensity 63, (8 4 2)
85.34 deg, intensity 64, (8 0 4)
89.74 deg, intensity 20, (10 2 0)